Nd12TlCd3: simulated PXRD pattern (a wavelength of 1.5418 Å), based on a DFT-relaxed cell (PBE, Alexandria).
Kinematic intensities with the Lorentz-polarization factor, no thermal factor.

Top 10 peaks for 2θ from 15° to 90°, sorted by position:
- 2θ 31.1, rel. 1000
- 2θ 36.0, rel. 338
- 2θ 36.1, rel. 167
- 2θ 51.8, rel. 119
- 2θ 51.9, rel. 236
- 2θ 61.6, rel. 280
- 2θ 61.8, rel. 139
- 2θ 64.8, rel. 120
- 2θ 84.8, rel. 116
- 2θ 87.4, rel. 109

```
Nd12TlCd3
1.0
4.9933 0.0000 0.0000
0.0000 4.9933 0.0000
0.0000 0.0000 19.8952
Nd Tl Cd
12 1 3
direct
0.0000 0.0000 0.0000
0.0000 0.0000 0.2494
0.0000 0.0000 0.5000
0.0000 0.0000 0.7506
0.0000 0.5000 0.1248
0.0000 0.5000 0.3746
0.0000 0.5000 0.6254
0.0000 0.5000 0.8752
0.5000 0.0000 0.1248
0.5000 0.0000 0.3746
0.5000 0.0000 0.6254
0.5000 0.0000 0.8752
0.5000 0.5000 0.5000
0.5000 0.5000 0.0000
0.5000 0.5000 0.2496
0.5000 0.5000 0.7504
```